[1]
# K2PuAg2O6
Calculated powder XRD pattern, λ = 1.5418 Å (Cu Kα). Input: a crystal structure in Alexandria, relaxed with PBE.

Main lines, low angle first (10° ≤ 2θ ≤ 90°):
2θ/deg, I (rel.)
14.29, 100.0
17.65, 21.7
28.81, 25.0
30.19, 22.0
31.29, 33.9
32.04, 22.2
32.30, 34.1
37.97, 40.7

Crystal structure
Cell: 5.7843 5.7843 6.9004 Å, 104.51 104.51 110.52°
Positions (direct):
K: 0.1845 0.8155 0.0000
K: 0.8155 0.1845 0.0000
Pu: 0.0000 0.0000 0.5000
Ag: 0.3375 0.6625 0.5000
Ag: 0.6625 0.3375 0.5000
O: 0.0302 0.3256 0.7114
O: 0.2263 0.2263 0.3478
O: 0.3256 0.0302 0.7114
O: 0.6744 0.9698 0.2886
O: 0.7737 0.7737 0.6522
O: 0.9698 0.6744 0.2886

[2]
# Cs3TlS3
Calculated powder XRD pattern, λ = 1.5418 Å (Cu Kα). Input: a crystal structure in Alexandria, relaxed with PBE.

Main lines, low angle first (10° ≤ 2θ ≤ 90°):
2θ/deg, I (rel.)
12.29, 43.2
23.24, 44.7
23.70, 100.0
24.05, 84.2
25.89, 44.4
28.32, 65.9
28.84, 66.1
29.53, 62.0

Crystal structure
Cell: 9.7820 8.5003 13.6574 Å, 90.00 96.34 90.00°
Positions (direct):
Cs: 0.0684 0.1543 0.1333
Cs: 0.0684 0.3457 0.6333
Cs: 0.3275 0.7115 0.7912
Cs: 0.3275 0.7885 0.2912
Cs: 0.3849 0.2154 0.9265
Cs: 0.3849 0.2846 0.4265
Cs: 0.6151 0.7154 0.5735
Cs: 0.6151 0.7846 0.0735
Cs: 0.6725 0.2115 0.7088
Cs: 0.6725 0.2885 0.2088
Cs: 0.9316 0.6543 0.3667
Cs: 0.9316 0.8457 0.8667
Tl: 0.1708 0.5815 0.0523
Tl: 0.1708 0.9185 0.5523
Tl: 0.8292 0.0815 0.4477
Tl: 0.8292 0.4185 0.9477
S: 0.0789 0.0608 0.3859
S: 0.0789 0.4392 0.8859
S: 0.2515 0.6407 0.5232
S: 0.2515 0.8593 0.0232
S: 0.3478 0.0744 0.6605
S: 0.3478 0.4256 0.1605
S: 0.6522 0.5744 0.8395
S: 0.6522 0.9256 0.3395
S: 0.7485 0.1407 0.9768
S: 0.7485 0.3593 0.4768
S: 0.9211 0.5608 0.1141
S: 0.9211 0.9392 0.6141

[3]
# Ba5CdPd
Calculated powder XRD pattern, λ = 1.5418 Å (Cu Kα). Input: a crystal structure in Alexandria, relaxed with PBE.

Main lines, low angle first (10° ≤ 2θ ≤ 90°):
2θ/deg, I (rel.)
10.65, 25.6
24.11, 50.5
25.93, 100.0
26.05, 23.2
26.56, 22.4
28.25, 62.2
37.14, 40.6
41.64, 24.8

Crystal structure
Cell: 10.4087 4.8417 13.7324 Å, 90.00 90.54 90.00°
Positions (direct):
Ba: 0.0243 0.2500 0.3657
Ba: 0.1376 0.7500 0.9311
Ba: 0.3025 0.2500 0.7097
Ba: 0.3498 0.7500 0.4352
Ba: 0.3726 0.2500 0.1467
Ba: 0.6274 0.7500 0.8533
Ba: 0.6502 0.2500 0.5648
Ba: 0.6975 0.7500 0.2903
Ba: 0.8624 0.2500 0.0689
Ba: 0.9757 0.7500 0.6343
Cd: 0.0871 0.7500 0.1861
Cd: 0.9129 0.2500 0.8139
Pd: 0.4808 0.7500 0.6506
Pd: 0.5192 0.2500 0.3494

[4]
# MoRhW2
Calculated powder XRD pattern, λ = 1.5418 Å (Cu Kα). Input: a crystal structure in Alexandria, relaxed with PBE.

Main lines, low angle first (10° ≤ 2θ ≤ 90°):
2θ/deg, I (rel.)
20.53, 10.0
40.05, 100.0
41.37, 22.9
41.75, 21.9
60.23, 14.8
74.55, 16.1
75.07, 15.1
86.45, 11.1

Crystal structure
Cell: 3.3077 4.3652 8.6542 Å, 90.00 90.00 90.00°
Positions (direct):
Mo: 0.0000 0.0000 0.0000
Mo: 0.5000 0.5000 0.0000
Rh: 0.0000 0.0000 0.5000
Rh: 0.5000 0.5000 0.5000
W: 0.0000 0.5000 0.2575
W: 0.0000 0.5000 0.7425
W: 0.5000 0.0000 0.2575
W: 0.5000 0.0000 0.7425

What did the second record say?
# Cs3TlS3
Calculated powder XRD pattern, λ = 1.5418 Å (Cu Kα). Input: a crystal structure in Alexandria, relaxed with PBE.

Main lines, low angle first (10° ≤ 2θ ≤ 90°):
2θ/deg, I (rel.)
12.29, 43.2
23.24, 44.7
23.70, 100.0
24.05, 84.2
25.89, 44.4
28.32, 65.9
28.84, 66.1
29.53, 62.0

Crystal structure
Cell: 9.7820 8.5003 13.6574 Å, 90.00 96.34 90.00°
Positions (direct):
Cs: 0.0684 0.1543 0.1333
Cs: 0.0684 0.3457 0.6333
Cs: 0.3275 0.7115 0.7912
Cs: 0.3275 0.7885 0.2912
Cs: 0.3849 0.2154 0.9265
Cs: 0.3849 0.2846 0.4265
Cs: 0.6151 0.7154 0.5735
Cs: 0.6151 0.7846 0.0735
Cs: 0.6725 0.2115 0.7088
Cs: 0.6725 0.2885 0.2088
Cs: 0.9316 0.6543 0.3667
Cs: 0.9316 0.8457 0.8667
Tl: 0.1708 0.5815 0.0523
Tl: 0.1708 0.9185 0.5523
Tl: 0.8292 0.0815 0.4477
Tl: 0.8292 0.4185 0.9477
S: 0.0789 0.0608 0.3859
S: 0.0789 0.4392 0.8859
S: 0.2515 0.6407 0.5232
S: 0.2515 0.8593 0.0232
S: 0.3478 0.0744 0.6605
S: 0.3478 0.4256 0.1605
S: 0.6522 0.5744 0.8395
S: 0.6522 0.9256 0.3395
S: 0.7485 0.1407 0.9768
S: 0.7485 0.3593 0.4768
S: 0.9211 0.5608 0.1141
S: 0.9211 0.9392 0.6141